This entry pairs a crystal structure of CsMgTi2 with its theoretical powder X-ray diffraction pattern. Radiation: Cu Kα (λ = 1.5418 Å). Structure: a DFT-relaxed cell (PBE, Alexandria).
Lines closer than 0.1° are merged.

Most intense lines, 10 to 90 degrees two-theta, sorted by position:
hkl 1 0 1, 20.00 deg, intensity 23
hkl 1 0 3, 22.97 deg, intensity 46
hkl 1 0 5, 28.01 deg, intensity 28
hkl 1 1 2, 29.00 deg, intensity 100
hkl 0 0 8, 31.94 deg, intensity 38
hkl 1 1 6, 36.98 deg, intensity 51
hkl 2 0 4, 43.09 deg, intensity 58
hkl 2 1 1, 44.94 deg, intensity 17
hkl 1 1 10, 49.65 deg, intensity 21
hkl 2 0 12, 64.70 deg, intensity 16
hkl 3 1 2, 65.74 deg, intensity 17
hkl 3 1 6, 70.42 deg, intensity 13

Unit cell a=4.528 b=4.528 c=22.413 alpha=90.00 beta=90.00 gamma=90.00
Space group I-42d (No. 122)
Symmetry-distinct sites (fractional):
Cs1 0.000 0.000 0.000 x4
Mg1 0.000 0.000 0.500 x4
Ti1 0.190 0.750 0.625 x8